1.
Theoretical X-ray powder pattern of CaCdAs2 for Cu Ka, from the PBE geometry in Alexandria.

Main lines, low angle first (2θ from 15° to 90°):
d [Å]  Position (°2θ)  I_rel
3.864  23.0  36
3.817  23.3  17
3.661  24.3  17
3.203  27.9  31
2.715  33.0  100
2.300  39.2  26
2.231  40.4  94
1.970  46.1  29
1.724  53.1  25
1.364  68.8  22

Structural model:
Cell: 4.4615 4.4615 11.4513 Å, 90.00 90.00 120.00°
Atoms (fractional coordinates):
Ca1 0.0000 0.0000 0.1841
Ca2 0.0000 0.0000 0.8159
Cd1 0.3333 0.6667 0.5842
Cd2 0.6667 0.3333 0.4158
As1 0.3333 0.6667 0.3326
As2 0.3333 0.6667 0.9789
As3 0.6667 0.3333 0.0211
As4 0.6667 0.3333 0.6674

2.
Theoretical X-ray powder pattern of Ca3CdAs3 for Cu Ka, from the PBE geometry in Alexandria.

Main lines, low angle first (2θ from 15° to 90°):
d [Å]  Position (°2θ)  I_rel
5.904  15.0  42
5.846  15.2  59
3.631  24.5  97
3.398  26.2  62
3.092  28.9  75
2.301  39.1  98
2.291  39.3  100
2.097  43.1  53
2.095  43.2  97
1.373  68.3  48

Structural model:
Cell: 9.6337 9.6337 11.8089 Å, 90.00 90.00 44.30°
Atoms (fractional coordinates):
Ca1 0.0075 0.3390 0.8706
Ca2 0.1610 0.4925 0.6294
Ca3 0.1613 0.8387 0.8616
Ca4 0.3390 0.0075 0.1294
Ca5 0.3387 0.6613 0.3616
Ca6 0.4925 0.1610 0.3706
Ca7 0.5075 0.8390 0.6294
Ca8 0.6613 0.3387 0.6384
Ca9 0.6610 0.9925 0.8706
Ca10 0.8387 0.1613 0.1384
Ca11 0.8390 0.5075 0.3706
Ca12 0.9925 0.6610 0.1294
Cd1 0.0906 0.0906 0.5000
Cd2 0.4094 0.4094 0.0000
Cd3 0.5906 0.5906 0.0000
Cd4 0.9094 0.9094 0.5000
As1 0.0845 0.5871 0.8758
As2 0.0871 0.5845 0.3758
As3 0.2475 0.7525 0.6167
As4 0.2525 0.7475 0.1167
As5 0.4129 0.9155 0.8758
As6 0.4155 0.9129 0.3758
As7 0.5845 0.0871 0.6242
As8 0.5871 0.0845 0.1242
As9 0.7475 0.2525 0.8833
As10 0.7525 0.2475 0.3833
As11 0.9129 0.4155 0.6242
As12 0.9155 0.4129 0.1242

3.
Theoretical X-ray powder pattern of Ca2CdAs2Rh5 for Cu Ka, from the PBE geometry in Alexandria.

Main lines, low angle first (2θ from 15° to 90°):
d [Å]  Position (°2θ)  I_rel
4.443  20.0  36
2.500  35.9  24
2.409  37.3  31
2.356  38.2  100
2.221  40.6  26
2.179  41.4  43
2.037  44.5  12
1.995  45.5  13
1.780  51.3  20
1.307  72.3  14

Structural model:
Cell: 9.9339 9.9339 3.5605 Å, 90.00 90.00 90.00°
Atoms (fractional coordinates):
Ca1 0.1732 0.3268 0.0000
Ca2 0.3268 0.8268 0.0000
Ca3 0.6732 0.1732 0.0000
Ca4 0.8268 0.6732 0.0000
Cd1 0.0000 0.0000 0.0000
Cd2 0.5000 0.5000 0.0000
As1 0.1259 0.6259 0.0000
As2 0.3741 0.1259 0.0000
As3 0.6259 0.8741 0.0000
As4 0.8741 0.3741 0.0000
Rh1 0.0000 0.5000 0.5000
Rh2 0.0688 0.7864 0.5000
Rh3 0.2136 0.0688 0.5000
Rh4 0.2864 0.5688 0.5000
Rh5 0.4312 0.2864 0.5000
Rh6 0.5000 0.0000 0.5000
Rh7 0.5688 0.7136 0.5000
Rh8 0.7136 0.4312 0.5000
Rh9 0.7864 0.9312 0.5000
Rh10 0.9312 0.2136 0.5000

4.
Theoretical X-ray powder pattern of CaCeAs2Rh2 for Cu Ka, from the PBE geometry in Alexandria.

Main lines, low angle first (2θ from 15° to 90°):
d [Å]  Position (°2θ)  I_rel
3.996  22.2  12
3.340  26.7  13
2.705  33.1  100
2.122  42.6  56
1.998  45.4  15
1.670  55.0  23
1.455  64.0  31
1.312  72.0  20
1.252  76.0  8
1.225  78.0  9

Structural model:
Cell: 4.2446 4.2446 7.9929 Å, 90.00 90.00 120.00°
Atoms (fractional coordinates):
Ca1 0.0000 0.0000 0.0000
Ce1 0.0000 0.0000 0.5000
As1 0.3333 0.6667 0.2512
As2 0.6667 0.3333 0.7488
Rh1 0.3333 0.6667 0.7353
Rh2 0.6667 0.3333 0.2647

5.
Theoretical X-ray powder pattern of Ca3CeSb2As for Cu Ka, from the PBE geometry in Alexandria.

Main lines, low angle first (2θ from 15° to 90°):
d [Å]  Position (°2θ)  I_rel
5.260  16.9  32
3.848  23.1  37
3.804  23.4  55
3.479  25.6  36
2.796  32.0  85
2.779  32.2  100
2.666  33.6  49
2.244  40.2  28
1.965  46.2  33
1.924  47.2  36

Structural model:
Cell: 9.0070 9.0070 9.0070 Å, 145.56 144.06 50.63°
Atoms (fractional coordinates):
Ca1 0.0000 0.0000 0.0000
Ca2 0.1788 0.6788 0.5000
Ca3 0.8212 0.3212 0.5000
Ce1 0.5000 0.5000 0.0000
Sb1 0.3692 0.8692 0.5000
Sb2 0.6308 0.1308 0.5000
As1 0.0000 0.5000 0.5000

6.
Theoretical X-ray powder pattern of SrCaCe2As4 for Cu Ka, from the PBE geometry in Alexandria.

Main lines, low angle first (2θ from 15° to 90°):
d [Å]  Position (°2θ)  I_rel
3.033  29.5  100
2.330  38.6  6
2.150  42.0  38
2.139  42.3  35
1.754  52.1  20
1.516  61.1  12
1.359  69.1  17
1.353  69.4  14
1.241  76.8  6
1.239  76.9  12

Structural model:
Cell: 7.3972 4.3010 7.4480 Å, 90.00 109.63 90.00°
Atoms (fractional coordinates):
Sr1 0.0000 0.0000 0.0000
Ca1 0.0000 0.5000 0.5000
Ce1 0.5000 0.0000 0.5000
Ce2 0.5000 0.5000 0.0000
As1 0.2719 0.0000 0.7537
As2 0.2759 0.5000 0.2622
As3 0.7241 0.5000 0.7378
As4 0.7281 0.0000 0.2463

7.
Theoretical X-ray powder pattern of Ca2As3Pb3ClO12 for Cu Ka, from the PBE geometry in Alexandria.

Main lines, low angle first (2θ from 15° to 90°):
d [Å]  Position (°2θ)  I_rel
5.216  17.0  13
4.215  21.1  18
3.820  23.3  14
3.579  24.9  28
3.082  29.0  100
3.011  29.7  13
2.951  30.3  25
2.471  36.4  13
1.991  45.6  18
1.956  46.4  29

Structural model:
Cell: 10.4317 10.4317 7.1583 Å, 90.00 90.00 120.00°
Atoms (fractional coordinates):
Ca1 0.3333 0.6667 0.0066
Ca2 0.3333 0.6667 0.4934
Ca3 0.6667 0.3333 0.5066
Ca4 0.6667 0.3333 0.9934
As1 0.0292 0.4228 0.7500
As2 0.3936 0.9708 0.7500
As3 0.4228 0.3936 0.2500
As4 0.5772 0.6064 0.7500
As5 0.6064 0.0292 0.2500
As6 0.9708 0.5772 0.2500
Pb1 0.0314 0.7676 0.7500
Pb2 0.2324 0.2639 0.7500
Pb3 0.2639 0.0314 0.2500
Pb4 0.7361 0.9686 0.7500
Pb5 0.7676 0.7361 0.2500
Pb6 0.9686 0.2324 0.2500
Cl1 0.0000 0.0000 0.0000
Cl2 0.0000 0.0000 0.5000
O1 0.0866 0.3635 0.5588
O2 0.0866 0.3635 0.9412
O3 0.1464 0.6149 0.7500
O4 0.1539 0.6285 0.2500
O5 0.2770 0.9134 0.5588
O6 0.2770 0.9134 0.9412
O7 0.3635 0.2770 0.0588
O8 0.3635 0.2770 0.4412
O9 0.3715 0.5254 0.2500
O10 0.3851 0.5315 0.7500
O11 0.4685 0.8536 0.7500
O12 0.4746 0.8461 0.2500
O13 0.5254 0.1539 0.7500
O14 0.5315 0.1464 0.2500
O15 0.6149 0.4685 0.2500
O16 0.6285 0.4746 0.7500
O17 0.6365 0.7230 0.5588
O18 0.6365 0.7230 0.9412
O19 0.7230 0.0866 0.0588
O20 0.7230 0.0866 0.4412
O21 0.8461 0.3715 0.7500
O22 0.8536 0.3851 0.2500
O23 0.9134 0.6365 0.0588
O24 0.9134 0.6365 0.4412

Repeat the fourth record exactly.
Theoretical X-ray powder pattern of CaCeAs2Rh2 for Cu Ka, from the PBE geometry in Alexandria.

Main lines, low angle first (2θ from 15° to 90°):
d [Å]  Position (°2θ)  I_rel
3.996  22.2  12
3.340  26.7  13
2.705  33.1  100
2.122  42.6  56
1.998  45.4  15
1.670  55.0  23
1.455  64.0  31
1.312  72.0  20
1.252  76.0  8
1.225  78.0  9

Structural model:
Cell: 4.2446 4.2446 7.9929 Å, 90.00 90.00 120.00°
Atoms (fractional coordinates):
Ca1 0.0000 0.0000 0.0000
Ce1 0.0000 0.0000 0.5000
As1 0.3333 0.6667 0.2512
As2 0.6667 0.3333 0.7488
Rh1 0.3333 0.6667 0.7353
Rh2 0.6667 0.3333 0.2647